This entry pairs a crystal structure of Nd5U3N8 with its computed PXRD pattern. Radiation: Cu Kα. Structure: DFT lattice parameters and positions (PBE).

Largest 8 diffraction maxima, in order of rising 2θ, 10° ≤ 2θ ≤ 90°:
d = 2.913 Å, intensity 34; d = 2.897 Å, intensity 100; d = 2.512 Å, intensity 92; d = 1.780 Å, intensity 32; d = 1.773 Å, intensity 32; d = 1.519 Å, intensity 16; d = 1.514 Å, intensity 31; d = 1.448 Å, intensity 16

Structural model:
Lattice parameters (Å, degrees): 7.1207 7.1207 7.1207 59.73 59.73 59.73
Sites, in units of the cell vectors:
Nd1 0.0000 0.0000 0.0000
Nd2 0.0000 0.5000 0.5000
Nd3 0.5000 0.0000 0.5000
Nd4 0.5000 0.5000 0.0000
Nd5 0.5000 0.5000 0.5000
U1 0.0000 0.0000 0.5000
U2 0.0000 0.5000 0.0000
U3 0.5000 0.0000 0.0000
N1 0.2123 0.7500 0.7500
N2 0.2358 0.2358 0.2358
N3 0.2500 0.2500 0.7877
N4 0.2500 0.7877 0.2500
N5 0.7500 0.2123 0.7500
N6 0.7500 0.7500 0.2123
N7 0.7642 0.7642 0.7642
N8 0.7877 0.2500 0.2500

This entry pairs a crystal structure of DyTmRu with its computed PXRD pattern. Radiation: Cu Kα. Structure: DFT lattice parameters and positions (PBE).

Largest 8 diffraction maxima, in order of rising 2θ, 10° ≤ 2θ ≤ 90°:
d = 3.269 Å, intensity 23; d = 2.653 Å, intensity 100; d = 2.390 Å, intensity 58; d = 2.046 Å, intensity 40; d = 1.690 Å, intensity 20; d = 1.426 Å, intensity 29; d = 1.333 Å, intensity 18; d = 1.303 Å, intensity 18

Structural model:
Lattice parameters (Å, degrees): 6.8534 6.8534 6.8534 151.44 151.44 40.83
Sites, in units of the cell vectors:
Dy1 0.0000 0.0000 0.0000
Tm1 0.2546 0.2546 0.0000
Ru1 0.6298 0.6298 0.0000

This entry pairs a crystal structure of Ac4TePSe2 with its computed PXRD pattern. Radiation: Cu Kα. Structure: DFT lattice parameters and positions (PBE).

Largest 8 diffraction maxima, in order of rising 2θ, 10° ≤ 2θ ≤ 90°:
d = 3.682 Å, intensity 31; d = 3.206 Å, intensity 100; d = 2.287 Å, intensity 37; d = 2.248 Å, intensity 39; d = 1.841 Å, intensity 21; d = 1.444 Å, intensity 15; d = 1.424 Å, intensity 18; d = 1.305 Å, intensity 13

Structural model:
Lattice parameters (Å, degrees): 7.7860 4.4987 7.9692 90.00 109.06 90.00
Sites, in units of the cell vectors:
Ac1 0.2409 0.0000 0.2279
Ac2 0.2556 0.5000 0.7735
Ac3 0.7444 0.5000 0.2265
Ac4 0.7591 0.0000 0.7721
Te1 0.0000 0.0000 0.5000
P1 0.0000 0.5000 0.0000
Se1 0.5000 0.0000 0.0000
Se2 0.5000 0.5000 0.5000

This entry pairs a crystal structure of Tl2InRuO8 with its computed PXRD pattern. Radiation: Cu Kα. Structure: DFT lattice parameters and positions (PBE).

Largest 8 diffraction maxima, in order of rising 2θ, 10° ≤ 2θ ≤ 90°:
d = 3.606 Å, intensity 100; d = 3.451 Å, intensity 84; d = 2.790 Å, intensity 79; d = 2.778 Å, intensity 83; d = 1.886 Å, intensity 33; d = 1.875 Å, intensity 35; d = 1.840 Å, intensity 29; d = 1.830 Å, intensity 29

Structural model:
Lattice parameters (Å, degrees): 4.9552 6.7113 5.0279 90.00 92.52 90.00
Sites, in units of the cell vectors:
Tl1 0.0000 0.2483 0.0000
Tl2 0.0000 0.7517 0.0000
In1 0.5000 0.5000 0.5000
Ru1 0.5000 0.0000 0.5000
O1 0.2132 0.5000 0.1923
O2 0.2337 0.0000 0.2097
O3 0.3133 0.2133 0.6655
O4 0.3133 0.7867 0.6655
O5 0.6867 0.2133 0.3345
O6 0.6867 0.7867 0.3345
O7 0.7663 0.0000 0.7903
O8 0.7868 0.5000 0.8077

This entry pairs a crystal structure of BaCu3As2 with its computed PXRD pattern. Radiation: Cu Kα. Structure: DFT lattice parameters and positions (PBE).

Largest 8 diffraction maxima, in order of rising 2θ, 10° ≤ 2θ ≤ 90°:
d = 7.231 Å, intensity 35; d = 3.295 Å, intensity 38; d = 3.147 Å, intensity 37; d = 2.832 Å, intensity 85; d = 2.647 Å, intensity 100; d = 2.370 Å, intensity 68; d = 2.070 Å, intensity 66; d = 1.954 Å, intensity 67

Structural model:
Lattice parameters (Å, degrees): 8.1762 8.1762 7.8696 112.51 112.51 29.33
Sites, in units of the cell vectors:
Ba1 0.1421 0.1421 0.0594
Ba2 0.8579 0.8579 0.9406
Cu1 0.0481 0.0481 0.3999
Cu2 0.3089 0.3089 0.5444
Cu3 0.4121 0.4121 0.3716
Cu4 0.5879 0.5879 0.6284
Cu5 0.6911 0.6911 0.4556
Cu6 0.9519 0.9519 0.6001
As1 0.1931 0.1931 0.6780
As2 0.4763 0.4763 0.7737
As3 0.5237 0.5237 0.2263
As4 0.8069 0.8069 0.3220

This entry pairs a crystal structure of Er8MgTe2 with its computed PXRD pattern. Radiation: Cu Kα. Structure: DFT lattice parameters and positions (PBE).

Largest 8 diffraction maxima, in order of rising 2θ, 10° ≤ 2θ ≤ 90°:
d = 2.996 Å, intensity 59; d = 2.873 Å, intensity 100; d = 2.809 Å, intensity 81; d = 2.705 Å, intensity 33; d = 2.523 Å, intensity 91; d = 2.468 Å, intensity 55; d = 1.718 Å, intensity 34; d = 1.525 Å, intensity 27

Structural model:
Lattice parameters (Å, degrees): 9.2513 9.2513 6.1468 109.33 109.33 40.75
Sites, in units of the cell vectors:
Er1 0.0773 0.0773 0.2325
Er2 0.1491 0.6525 0.2751
Er3 0.2909 0.2909 0.6747
Er4 0.3475 0.8509 0.7249
Er5 0.6525 0.1491 0.2751
Er6 0.7091 0.7091 0.3253
Er7 0.8509 0.3475 0.7249
Er8 0.9227 0.9227 0.7675
Mg1 0.5000 0.5000 0.0000
Te1 0.2356 0.2356 0.1277
Te2 0.7644 0.7644 0.8723

This entry pairs a crystal structure of Tb3Sm9Th2 with its computed PXRD pattern. Radiation: Cu Kα. Structure: DFT lattice parameters and positions (PBE).

Largest 8 diffraction maxima, in order of rising 2θ, 10° ≤ 2θ ≤ 90°:
d = 2.933 Å, intensity 45; d = 2.853 Å, intensity 54; d = 2.810 Å, intensity 100; d = 2.798 Å, intensity 88; d = 2.045 Å, intensity 33; d = 1.639 Å, intensity 20; d = 1.596 Å, intensity 20; d = 1.485 Å, intensity 29

Structural model:
Lattice parameters (Å, degrees): 10.0380 10.0380 5.7068 106.47 106.47 63.05
Sites, in units of the cell vectors:
Tb1 0.0000 0.0000 0.0000
Tb2 0.5967 0.5967 0.5974
Tb3 0.7081 0.7081 0.2086
Sm1 0.0384 0.3773 0.2074
Sm2 0.0692 0.7338 0.4015
Sm3 0.2682 0.9377 0.6027
Sm4 0.3310 0.6718 0.0016
Sm5 0.3773 0.0384 0.2074
Sm6 0.3880 0.3880 0.3890
Sm7 0.6718 0.3310 0.0016
Sm8 0.7338 0.0692 0.4015
Sm9 0.9377 0.2682 0.6027
Th1 0.6267 0.9603 0.7938
Th2 0.9603 0.6267 0.7938

This entry pairs a crystal structure of SeSBr with its computed PXRD pattern. Radiation: Cu Kα. Structure: DFT lattice parameters and positions (PBE).

Largest 8 diffraction maxima, in order of rising 2θ, 10° ≤ 2θ ≤ 90°:
d = 4.582 Å, intensity 100; d = 4.166 Å, intensity 73; d = 3.994 Å, intensity 97; d = 3.278 Å, intensity 54; d = 3.091 Å, intensity 87; d = 3.081 Å, intensity 55; d = 2.635 Å, intensity 62; d = 2.589 Å, intensity 93

Structural model:
Lattice parameters (Å, degrees): 4.2058 9.5865 11.4035 81.93 85.88 84.21
Sites, in units of the cell vectors:
Se1 0.1648 0.0693 0.1288
Se2 0.1799 0.8160 0.0000
Se3 0.8201 0.1840 0.0000
Se4 0.8352 0.9307 0.8712
S1 0.3661 0.5844 0.4419
S2 0.4701 0.2400 0.5301
S3 0.5299 0.7600 0.4699
S4 0.6339 0.4156 0.5581
Br1 0.1379 0.3197 0.8431
Br2 0.2600 0.8369 0.6354
Br3 0.7400 0.1631 0.3646
Br4 0.8621 0.6803 0.1569

This entry pairs a crystal structure of RbNpBe2F8 with its computed PXRD pattern. Radiation: Cu Kα. Structure: DFT lattice parameters and positions (PBE).

Largest 8 diffraction maxima, in order of rising 2θ, 10° ≤ 2θ ≤ 90°:
d = 8.266 Å, intensity 43; d = 4.402 Å, intensity 31; d = 4.208 Å, intensity 70; d = 4.133 Å, intensity 23; d = 3.628 Å, intensity 100; d = 2.583 Å, intensity 35; d = 2.548 Å, intensity 27; d = 2.190 Å, intensity 54

Structural model:
Lattice parameters (Å, degrees): 8.7877 8.7877 8.7877 34.18 34.18 34.18
Sites, in units of the cell vectors:
Rb1 0.0000 0.0000 0.0000
Np1 0.5000 0.5000 0.5000
Be1 0.2501 0.2501 0.2501
Be2 0.7499 0.7499 0.7499
F1 0.0648 0.4967 0.7639
F2 0.2361 0.5033 0.9352
F3 0.3099 0.3099 0.3099
F4 0.4967 0.7639 0.0648
F5 0.5033 0.9352 0.2361
F6 0.6901 0.6901 0.6901
F7 0.7639 0.0648 0.4967
F8 0.9352 0.2361 0.5033

This entry pairs a crystal structure of Ba2GdCu2Hg2O8 with its computed PXRD pattern. Radiation: Cu Kα. Structure: DFT lattice parameters and positions (PBE).

Largest 8 diffraction maxima, in order of rising 2θ, 10° ≤ 2θ ≤ 90°:
d = 3.259 Å, intensity 21; d = 2.866 Å, intensity 100; d = 2.764 Å, intensity 64; d = 1.954 Å, intensity 30; d = 1.837 Å, intensity 11; d = 1.676 Å, intensity 24; d = 1.615 Å, intensity 37; d = 1.236 Å, intensity 11

Structural model:
Lattice parameters (Å, degrees): 15.0148 15.0148 15.0148 165.04 165.04 21.21
Sites, in units of the cell vectors:
Ba1 0.1277 0.1277 0.0000
Ba2 0.8723 0.8723 0.0000
Gd1 0.0000 0.0000 0.0000
Cu1 0.4423 0.4423 0.0000
Cu2 0.5577 0.5577 0.0000
Hg1 0.2877 0.2877 0.0000
Hg2 0.7123 0.7123 0.0000
O1 0.0498 0.5498 0.5000
O2 0.2172 0.2172 0.0000
O3 0.3591 0.3591 0.0000
O4 0.4502 0.9502 0.5000
O5 0.5498 0.0498 0.5000
O6 0.6409 0.6409 0.0000
O7 0.7828 0.7828 0.0000
O8 0.9502 0.4502 0.5000

This entry pairs a crystal structure of PrSm2Ni9 with its computed PXRD pattern. Radiation: Cu Kα. Structure: DFT lattice parameters and positions (PBE).

Largest 8 diffraction maxima, in order of rising 2θ, 10° ≤ 2θ ≤ 90°:
d = 2.738 Å, intensity 44; d = 2.517 Å, intensity 82; d = 2.172 Å, intensity 35; d = 2.146 Å, intensity 100; d = 2.054 Å, intensity 21; d = 1.993 Å, intensity 30; d = 1.454 Å, intensity 21; d = 1.370 Å, intensity 32

Structural model:
Lattice parameters (Å, degrees): 8.7077 8.7077 8.7077 33.62 33.62 33.62
Sites, in units of the cell vectors:
Pr1 0.0000 0.0000 0.0000
Sm1 0.1392 0.1392 0.1392
Sm2 0.8608 0.8608 0.8608
Ni1 0.0821 0.5817 0.5817
Ni2 0.3327 0.3327 0.3327
Ni3 0.4183 0.4183 0.9179
Ni4 0.4183 0.9179 0.4183
Ni5 0.5000 0.5000 0.5000
Ni6 0.5817 0.0821 0.5817
Ni7 0.5817 0.5817 0.0821
Ni8 0.6673 0.6673 0.6673
Ni9 0.9179 0.4183 0.4183

This entry pairs a crystal structure of ScNi7 with its computed PXRD pattern. Radiation: Cu Kα. Structure: DFT lattice parameters and positions (PBE).

Largest 8 diffraction maxima, in order of rising 2θ, 10° ≤ 2θ ≤ 90°:
d = 4.448 Å, intensity 3; d = 2.224 Å, intensity 25; d = 2.073 Å, intensity 27; d = 1.960 Å, intensity 100; d = 1.516 Å, intensity 14; d = 1.284 Å, intensity 14; d = 1.174 Å, intensity 16; d = 1.092 Å, intensity 17

Structural model:
Lattice parameters (Å, degrees): 5.1361 5.1361 4.1454 90.00 90.00 120.00
Sites, in units of the cell vectors:
Sc1 0.0000 0.0000 0.0000
Ni1 0.0034 0.5017 0.0000
Ni2 0.3333 0.6667 0.5000
Ni3 0.3532 0.1766 0.5000
Ni4 0.4983 0.5017 0.0000
Ni5 0.4983 0.9966 0.0000
Ni6 0.8234 0.1766 0.5000
Ni7 0.8234 0.6468 0.5000

Please write out number 9 again, unchanged.
This entry pairs a crystal structure of RbNpBe2F8 with its computed PXRD pattern. Radiation: Cu Kα. Structure: DFT lattice parameters and positions (PBE).

Largest 8 diffraction maxima, in order of rising 2θ, 10° ≤ 2θ ≤ 90°:
d = 8.266 Å, intensity 43; d = 4.402 Å, intensity 31; d = 4.208 Å, intensity 70; d = 4.133 Å, intensity 23; d = 3.628 Å, intensity 100; d = 2.583 Å, intensity 35; d = 2.548 Å, intensity 27; d = 2.190 Å, intensity 54

Structural model:
Lattice parameters (Å, degrees): 8.7877 8.7877 8.7877 34.18 34.18 34.18
Sites, in units of the cell vectors:
Rb1 0.0000 0.0000 0.0000
Np1 0.5000 0.5000 0.5000
Be1 0.2501 0.2501 0.2501
Be2 0.7499 0.7499 0.7499
F1 0.0648 0.4967 0.7639
F2 0.2361 0.5033 0.9352
F3 0.3099 0.3099 0.3099
F4 0.4967 0.7639 0.0648
F5 0.5033 0.9352 0.2361
F6 0.6901 0.6901 0.6901
F7 0.7639 0.0648 0.4967
F8 0.9352 0.2361 0.5033